# 1
Structure and theoretical powder diffraction line list of LaGaNi4 (a DFT-relaxed cell (PBE, the Materials Project); CuKα).
Intensities are scaled so that the largest is 1000.

Crystal structure
```
data_LaGaNi4
_chemical_formula_sum 'La1 Ga1 Ni4'
_symmetry_space_group_name_H-M 'P 1'
_symmetry_Int_Tables_number 1
_cell_length_a 5.180
_cell_length_b 5.180
_cell_length_c 3.880
_cell_angle_alpha 90.00
_cell_angle_beta 90.00
_cell_angle_gamma 120.00
loop_
_symmetry_equiv_pos_as_xyz
'x,y,z'
loop_
_atom_site_label
_atom_site_fract_x
_atom_site_fract_y
_atom_site_fract_z
_atom_site_occupancy
La1 0.000 0.000 0.000 1
Ga1 0.333 0.667 0.000 1
Ni1 0.503 0.006 0.500 1
Ni2 0.503 0.497 0.500 1
Ni3 0.667 0.333 0.000 1
Ni4 0.994 0.497 0.500 1
```

Main lines, low angle first (10 to 90 degrees two-theta):
30.5°, rel. 369; 34.6°, rel. 327; 40.2°, rel. 336; 41.9°, rel. 1000; 46.8°, rel. 328; 59.5°, rel. 241; 62.1°, rel. 59; 63.4°, rel. 166; 67.1°, rel. 236; 73.1°, rel. 170; 81.2°, rel. 98; 83.6°, rel. 126

=====

# 2
Structure and theoretical powder diffraction line list of ZnNi3 (a DFT-relaxed cell (PBE, the Materials Project); CuKα).
Intensities are scaled so that the largest is 1000.

Crystal structure
```
data_ZnNi3
_chemical_formula_sum 'Zn2 Ni6'
_symmetry_space_group_name_H-M 'P 1'
_symmetry_Int_Tables_number 1
_cell_length_a 3.609
_cell_length_b 3.609
_cell_length_c 7.013
_cell_angle_alpha 90.00
_cell_angle_beta 90.00
_cell_angle_gamma 90.00
loop_
_symmetry_equiv_pos_as_xyz
'x,y,z'
loop_
_atom_site_label
_atom_site_fract_x
_atom_site_fract_y
_atom_site_fract_z
_atom_site_occupancy
Zn1 0.000 0.000 0.000 1
Zn2 0.500 0.500 0.500 1
Ni1 0.000 0.000 0.500 1
Ni2 0.000 0.500 0.250 1
Ni3 0.000 0.500 0.750 1
Ni4 0.500 0.000 0.250 1
Ni5 0.500 0.000 0.750 1
Ni6 0.500 0.500 0.000 1
```

Main lines, low angle first (10 to 90 degrees two-theta):
43.9°, rel. 1000; 50.6°, rel. 322; 52.2°, rel. 146; 74.3°, rel. 93; 75.6°, rel. 177

=====

# 3
Structure and theoretical powder diffraction line list of CuCSN (a DFT-relaxed cell (PBE, the Materials Project); CuKα).
Intensities are scaled so that the largest is 1000.

Crystal structure
```
data_CuCSN
_chemical_formula_sum 'Cu8 C8 S8 N8'
_symmetry_space_group_name_H-M 'P 1'
_symmetry_Int_Tables_number 1
_cell_length_a 6.659
_cell_length_b 11.005
_cell_length_c 7.223
_cell_angle_alpha 90.00
_cell_angle_beta 90.00
_cell_angle_gamma 90.00
loop_
_symmetry_equiv_pos_as_xyz
'x,y,z'
loop_
_atom_site_label
_atom_site_fract_x
_atom_site_fract_y
_atom_site_fract_z
_atom_site_occupancy
Cu1 0.136 0.184 0.156 1
Cu2 0.136 0.316 0.656 1
Cu3 0.364 0.684 0.156 1
Cu4 0.364 0.816 0.656 1
Cu5 0.636 0.184 0.344 1
Cu6 0.636 0.316 0.844 1
Cu7 0.864 0.684 0.344 1
Cu8 0.864 0.816 0.844 1
C1 0.140 0.578 0.795 1
C2 0.140 0.922 0.295 1
C3 0.360 0.078 0.795 1
C4 0.360 0.422 0.295 1
C5 0.640 0.578 0.705 1
C6 0.640 0.922 0.205 1
C7 0.860 0.078 0.705 1
C8 0.860 0.422 0.205 1
S1 0.174 0.716 0.882 1
S2 0.174 0.784 0.382 1
S3 0.326 0.216 0.882 1
S4 0.326 0.284 0.382 1
S5 0.674 0.716 0.618 1
S6 0.674 0.784 0.118 1
S7 0.826 0.216 0.618 1
S8 0.826 0.284 0.118 1
N1 0.118 0.019 0.232 1
N2 0.118 0.481 0.732 1
N3 0.382 0.519 0.232 1
N4 0.382 0.981 0.732 1
N5 0.618 0.019 0.268 1
N6 0.618 0.481 0.768 1
N7 0.882 0.519 0.268 1
N8 0.882 0.981 0.768 1
```

Main lines, low angle first (10 to 90 degrees two-theta):
16.1°, rel. 1000; 20.3°, rel. 244; 24.3°, rel. 511; 24.7°, rel. 256; 29.3°, rel. 899; 30.7°, rel. 641; 37.5°, rel. 332; 38.6°, rel. 360; 43.2°, rel. 244; 48.9°, rel. 447; 51.3°, rel. 275; 53.4°, rel. 209

=====

# 4
Structure and theoretical powder diffraction line list of LiSiB6 (a DFT-relaxed cell (PBE, the Materials Project); CuKα).
Intensities are scaled so that the largest is 1000.

Crystal structure
```
data_LiSiB6
_chemical_formula_sum 'Li4 Si4 B24'
_symmetry_space_group_name_H-M 'P 1'
_symmetry_Int_Tables_number 1
_cell_length_a 6.293
_cell_length_b 6.293
_cell_length_c 8.431
_cell_angle_alpha 90.00
_cell_angle_beta 90.00
_cell_angle_gamma 121.90
loop_
_symmetry_equiv_pos_as_xyz
'x,y,z'
loop_
_atom_site_label
_atom_site_fract_x
_atom_site_fract_y
_atom_site_fract_z
_atom_site_occupancy
Li1 0.176 0.824 0.840 1
Li2 0.324 0.676 0.340 1
Li3 0.676 0.324 0.660 1
Li4 0.824 0.176 0.160 1
Si1 0.166 0.834 0.120 1
Si2 0.334 0.666 0.620 1
Si3 0.666 0.334 0.380 1
Si4 0.834 0.166 0.880 1
B1 0.100 0.900 0.350 1
B2 0.120 0.198 0.334 1
B3 0.152 0.848 0.556 1
B4 0.155 0.313 0.531 1
B5 0.187 0.345 0.969 1
B6 0.198 0.120 0.666 1
B7 0.302 0.380 0.166 1
B8 0.313 0.155 0.469 1
B9 0.345 0.187 0.031 1
B10 0.348 0.652 0.056 1
B11 0.380 0.302 0.834 1
B12 0.400 0.600 0.850 1
B13 0.600 0.400 0.150 1
B14 0.620 0.698 0.166 1
B15 0.652 0.348 0.944 1
B16 0.655 0.813 0.969 1
B17 0.687 0.845 0.531 1
B18 0.698 0.620 0.834 1
B19 0.802 0.880 0.334 1
B20 0.813 0.655 0.031 1
B21 0.845 0.687 0.469 1
B22 0.848 0.152 0.444 1
B23 0.880 0.802 0.666 1
B24 0.900 0.100 0.650 1
```

Main lines, low angle first (10 to 90 degrees two-theta):
16.1°, rel. 208; 19.3°, rel. 444; 26.9°, rel. 1000; 29.2°, rel. 297; 30.3°, rel. 468; 32.6°, rel. 224; 33.5°, rel. 564; 35.2°, rel. 289; 35.9°, rel. 213; 43.2°, rel. 488; 52.8°, rel. 259; 58.7°, rel. 221

=====

# 5
Structure and theoretical powder diffraction line list of CsCuCl3 (a DFT-relaxed cell (PBE, the Materials Project); CuKα).
Intensities are scaled so that the largest is 1000.

Crystal structure
```
data_CsCuCl3
_chemical_formula_sum 'Cs2 Cu2 Cl6'
_symmetry_space_group_name_H-M 'P 1'
_symmetry_Int_Tables_number 1
_cell_length_a 7.308
_cell_length_b 7.308
_cell_length_c 6.013
_cell_angle_alpha 90.00
_cell_angle_beta 90.00
_cell_angle_gamma 120.00
loop_
_symmetry_equiv_pos_as_xyz
'x,y,z'
loop_
_atom_site_label
_atom_site_fract_x
_atom_site_fract_y
_atom_site_fract_z
_atom_site_occupancy
Cs1 0.333 0.667 0.250 1
Cs2 0.667 0.333 0.750 1
Cu1 0.000 0.000 0.000 1
Cu2 0.000 0.000 0.500 1
Cl1 0.154 0.308 0.750 1
Cl2 0.154 0.846 0.750 1
Cl3 0.308 0.154 0.250 1
Cl4 0.692 0.846 0.750 1
Cl5 0.846 0.154 0.250 1
Cl6 0.846 0.692 0.250 1
```

Main lines, low angle first (10 to 90 degrees two-theta):
20.4°, rel. 538; 24.4°, rel. 649; 29.7°, rel. 140; 32.0°, rel. 1000; 33.0°, rel. 250; 40.6°, rel. 129; 41.4°, rel. 396; 42.9°, rel. 139; 48.6°, rel. 266; 49.9°, rel. 283; 54.2°, rel. 201; 60.5°, rel. 132

=====

# 6
Structure and theoretical powder diffraction line list of BaMg14Co (a DFT-relaxed cell (PBE, the Materials Project); CuKα).
Intensities are scaled so that the largest is 1000.

Crystal structure
```
data_BaMg14Co
_chemical_formula_sum 'Ba1 Mg14 Co1'
_symmetry_space_group_name_H-M 'P 1'
_symmetry_Int_Tables_number 1
_cell_length_a 6.481
_cell_length_b 6.481
_cell_length_c 10.434
_cell_angle_alpha 90.00
_cell_angle_beta 90.00
_cell_angle_gamma 120.00
loop_
_symmetry_equiv_pos_as_xyz
'x,y,z'
loop_
_atom_site_label
_atom_site_fract_x
_atom_site_fract_y
_atom_site_fract_z
_atom_site_occupancy
Ba1 0.000 0.000 0.000 1
Mg1 0.013 0.507 0.000 1
Mg2 0.161 0.322 0.283 1
Mg3 0.161 0.322 0.717 1
Mg4 0.161 0.839 0.283 1
Mg5 0.161 0.839 0.717 1
Mg6 0.493 0.507 0.000 1
Mg7 0.493 0.987 0.000 1
Mg8 0.508 0.016 0.500 1
Mg9 0.508 0.492 0.500 1
Mg10 0.667 0.333 0.237 1
Mg11 0.667 0.333 0.763 1
Mg12 0.678 0.839 0.283 1
Mg13 0.678 0.839 0.717 1
Mg14 0.984 0.492 0.500 1
Co1 0.000 0.000 0.500 1
```

Main lines, low angle first (10 to 90 degrees two-theta):
15.8°, rel. 384; 17.0°, rel. 120; 23.3°, rel. 270; 31.9°, rel. 293; 32.5°, rel. 117; 34.4°, rel. 219; 36.3°, rel. 1000; 47.6°, rel. 184; 56.8°, rel. 176; 62.9°, rel. 138; 68.1°, rel. 162; 69.3°, rel. 137

=====

# 7
Structure and theoretical powder diffraction line list of TmNiSn (a DFT-relaxed cell (PBE, the Materials Project); CuKα).
Intensities are scaled so that the largest is 1000.

Crystal structure
```
data_TmNiSn
_chemical_formula_sum 'Tm4 Ni4 Sn4'
_symmetry_space_group_name_H-M 'P 1'
_symmetry_Int_Tables_number 1
_cell_length_a 7.022
_cell_length_b 4.408
_cell_length_c 7.637
_cell_angle_alpha 90.00
_cell_angle_beta 90.00
_cell_angle_gamma 90.00
loop_
_symmetry_equiv_pos_as_xyz
'x,y,z'
loop_
_atom_site_label
_atom_site_fract_x
_atom_site_fract_y
_atom_site_fract_z
_atom_site_occupancy
Tm1 0.013 0.250 0.203 1
Tm2 0.487 0.750 0.703 1
Tm3 0.513 0.250 0.297 1
Tm4 0.987 0.750 0.797 1
Ni1 0.196 0.750 0.413 1
Ni2 0.304 0.250 0.913 1
Ni3 0.696 0.750 0.087 1
Ni4 0.804 0.250 0.587 1
Sn1 0.193 0.250 0.586 1
Sn2 0.307 0.750 0.086 1
Sn3 0.693 0.250 0.914 1
Sn4 0.807 0.750 0.414 1
```

Main lines, low angle first (10 to 90 degrees two-theta):
23.3°, rel. 100; 33.6°, rel. 327; 34.7°, rel. 1000; 37.6°, rel. 84; 40.3°, rel. 154; 40.9°, rel. 633; 54.7°, rel. 190; 57.8°, rel. 80; 58.8°, rel. 101; 66.7°, rel. 162; 70.6°, rel. 138; 75.2°, rel. 88

=====

# 8
Structure and theoretical powder diffraction line list of BaNd2In2O7 (a DFT-relaxed cell (PBE, the Materials Project); CuKα).
Intensities are scaled so that the largest is 1000.

Crystal structure
```
data_BaNd2In2O7
_chemical_formula_sum 'Ba4 Nd8 In8 O28'
_symmetry_space_group_name_H-M 'P 1'
_symmetry_Int_Tables_number 1
_cell_length_a 5.979
_cell_length_b 5.979
_cell_length_c 20.785
_cell_angle_alpha 90.00
_cell_angle_beta 90.00
_cell_angle_gamma 90.00
loop_
_symmetry_equiv_pos_as_xyz
'x,y,z'
loop_
_atom_site_label
_atom_site_fract_x
_atom_site_fract_y
_atom_site_fract_z
_atom_site_occupancy
Ba1 0.238 0.238 0.000 1
Ba2 0.262 0.738 0.500 1
Ba3 0.738 0.262 0.500 1
Ba4 0.762 0.762 0.000 1
Nd1 0.220 0.220 0.186 1
Nd2 0.220 0.220 0.814 1
Nd3 0.280 0.720 0.314 1
Nd4 0.280 0.720 0.686 1
Nd5 0.720 0.280 0.314 1
Nd6 0.720 0.280 0.686 1
Nd7 0.780 0.780 0.186 1
Nd8 0.780 0.780 0.814 1
In1 0.241 0.241 0.396 1
In2 0.241 0.241 0.604 1
In3 0.259 0.741 0.104 1
In4 0.259 0.741 0.896 1
In5 0.741 0.259 0.104 1
In6 0.741 0.259 0.896 1
In7 0.759 0.759 0.396 1
In8 0.759 0.759 0.604 1
O1 0.000 0.000 0.092 1
O2 0.000 0.000 0.363 1
O3 0.000 0.000 0.637 1
O4 0.000 0.000 0.908 1
O5 0.000 0.500 0.120 1
O6 0.000 0.500 0.380 1
O7 0.000 0.500 0.620 1
O8 0.000 0.500 0.880 1
O9 0.178 0.822 0.212 1
O10 0.178 0.822 0.788 1
O11 0.205 0.205 0.500 1
O12 0.295 0.705 0.000 1
O13 0.322 0.322 0.288 1
O14 0.322 0.322 0.712 1
O15 0.500 0.000 0.120 1
O16 0.500 0.000 0.380 1
O17 0.500 0.000 0.620 1
O18 0.500 0.000 0.880 1
O19 0.500 0.500 0.137 1
O20 0.500 0.500 0.408 1
O21 0.500 0.500 0.592 1
O22 0.500 0.500 0.863 1
O23 0.678 0.678 0.288 1
O24 0.678 0.678 0.712 1
O25 0.705 0.295 0.000 1
O26 0.795 0.795 0.500 1
O27 0.822 0.178 0.212 1
O28 0.822 0.178 0.788 1
```

Main lines, low angle first (10 to 90 degrees two-theta):
29.9°, rel. 555; 30.1°, rel. 1000; 42.8°, rel. 298; 43.5°, rel. 98; 53.2°, rel. 380; 53.7°, rel. 173; 62.1°, rel. 76; 62.7°, rel. 108; 70.4°, rel. 101; 70.6°, rel. 73; 86.2°, rel. 79; 86.6°, rel. 65

=====

# 9
Structure and theoretical powder diffraction line list of TiPd (a DFT-relaxed cell (PBE, the Materials Project); CuKα).
Intensities are scaled so that the largest is 1000.

Crystal structure
```
data_TiPd
_chemical_formula_sum 'Ti1 Pd1'
_symmetry_space_group_name_H-M 'P 1'
_symmetry_Int_Tables_number 1
_cell_length_a 2.842
_cell_length_b 2.842
_cell_length_c 3.872
_cell_angle_alpha 90.00
_cell_angle_beta 90.00
_cell_angle_gamma 90.00
loop_
_symmetry_equiv_pos_as_xyz
'x,y,z'
loop_
_atom_site_label
_atom_site_fract_x
_atom_site_fract_y
_atom_site_fract_z
_atom_site_occupancy
Ti1 0.000 0.000 0.000 1
Pd1 0.500 0.500 0.500 1
```

Main lines, low angle first (10 to 90 degrees two-theta):
23.0°, rel. 154; 31.5°, rel. 141; 39.3°, rel. 1000; 45.1°, rel. 333; 46.9°, rel. 148; 51.2°, rel. 76; 57.6°, rel. 54; 65.7°, rel. 103; 67.1°, rel. 192; 79.4°, rel. 235; 82.0°, rel. 108; 84.6°, rel. 100

=====

# 10
Structure and theoretical powder diffraction line list of Tm2ZnPt (a DFT-relaxed cell (PBE, the Materials Project); CuKα).
Intensities are scaled so that the largest is 1000.

Crystal structure
```
data_Tm2ZnPt
_chemical_formula_sum 'Tm8 Zn4 Pt4'
_symmetry_space_group_name_H-M 'P 1'
_symmetry_Int_Tables_number 1
_cell_length_a 6.954
_cell_length_b 6.954
_cell_length_c 6.954
_cell_angle_alpha 90.00
_cell_angle_beta 90.00
_cell_angle_gamma 90.00
loop_
_symmetry_equiv_pos_as_xyz
'x,y,z'
loop_
_atom_site_label
_atom_site_fract_x
_atom_site_fract_y
_atom_site_fract_z
_atom_site_occupancy
Tm1 0.250 0.250 0.250 1
Tm2 0.250 0.250 0.750 1
Tm3 0.250 0.750 0.250 1
Tm4 0.250 0.750 0.750 1
Tm5 0.750 0.250 0.250 1
Tm6 0.750 0.250 0.750 1
Tm7 0.750 0.750 0.250 1
Tm8 0.750 0.750 0.750 1
Zn1 0.000 0.000 0.000 1
Zn2 0.000 0.500 0.500 1
Zn3 0.500 0.000 0.500 1
Zn4 0.500 0.500 0.000 1
Pt1 0.000 0.000 0.500 1
Pt2 0.000 0.500 0.000 1
Pt3 0.500 0.000 0.000 1
Pt4 0.500 0.500 0.500 1
```

Main lines, low angle first (10 to 90 degrees two-theta):
22.1°, rel. 93; 25.6°, rel. 18; 36.5°, rel. 1000; 43.1°, rel. 51; 52.6°, rel. 177; 57.8°, rel. 23; 59.4°, rel. 8; 65.8°, rel. 361; 70.3°, rel. 17; 77.7°, rel. 112; 82.0°, rel. 18; 89.0°, rel. 166

=====

# 11
Structure and theoretical powder diffraction line list of Pu2O3 (a DFT-relaxed cell (PBE, the Materials Project); CuKα).
Intensities are scaled so that the largest is 1000.

Crystal structure
```
data_Pu2O3
_chemical_formula_sum 'Pu16 O24'
_symmetry_space_group_name_H-M 'P 1'
_symmetry_Int_Tables_number 1
_cell_length_a 9.429
_cell_length_b 9.431
_cell_length_c 9.436
_cell_angle_alpha 109.40
_cell_angle_beta 109.46
_cell_angle_gamma 109.36
loop_
_symmetry_equiv_pos_as_xyz
'x,y,z'
loop_
_atom_site_label
_atom_site_fract_x
_atom_site_fract_y
_atom_site_fract_z
_atom_site_occupancy
Pu1 0.000 0.000 0.000 1
Pu2 0.000 0.500 0.500 1
Pu3 0.025 0.250 0.775 1
Pu4 0.225 0.975 0.750 1
Pu5 0.250 0.276 0.526 1
Pu6 0.250 0.775 0.025 1
Pu7 0.276 0.526 0.250 1
Pu8 0.474 0.750 0.724 1
Pu9 0.500 0.000 0.500 1
Pu10 0.500 0.500 0.000 1
Pu11 0.526 0.250 0.276 1
Pu12 0.724 0.474 0.750 1
Pu13 0.750 0.225 0.975 1
Pu14 0.750 0.724 0.474 1
Pu15 0.775 0.025 0.250 1
Pu16 0.975 0.750 0.225 1
O1 0.009 0.741 0.474 1
O2 0.027 0.264 0.035 1
O3 0.035 0.027 0.264 1
O4 0.232 0.492 0.465 1
O5 0.233 0.759 0.268 1
O6 0.241 0.732 0.767 1
O7 0.260 0.526 0.991 1
O8 0.264 0.035 0.027 1
O9 0.268 0.233 0.759 1
O10 0.465 0.231 0.492 1
O11 0.474 0.009 0.740 1
O12 0.492 0.465 0.231 1
O13 0.508 0.535 0.769 1
O14 0.526 0.991 0.260 1
O15 0.535 0.769 0.508 1
O16 0.732 0.767 0.241 1
O17 0.736 0.965 0.973 1
O18 0.740 0.474 0.009 1
O19 0.759 0.268 0.233 1
O20 0.767 0.241 0.732 1
O21 0.768 0.508 0.535 1
O22 0.965 0.973 0.736 1
O23 0.973 0.736 0.965 1
O24 0.991 0.259 0.526 1
```

Main lines, low angle first (10 to 90 degrees two-theta):
20.0°, rel. 79; 28.4°, rel. 1000; 28.4°, rel. 332; 32.9°, rel. 534; 47.1°, rel. 270; 47.2°, rel. 268; 55.9°, rel. 171; 56.0°, rel. 298; 58.7°, rel. 91; 68.9°, rel. 71; 76.2°, rel. 84; 78.4°, rel. 69